Cr2NiHIr: calculated powder diffraction line list (Cu Kα X-rays), based on a DFT-relaxed cell (GGA-PBE, Alexandria).
Kinematic intensities with the Lorentz-polarization factor, no thermal factor.

Cell and atoms:
abc: 3.6611 3.6611 3.8130
angles: 90.00 90.00 90.00
Space group P4/mmm (No. 123)
Unique sites:
Cr  0.0000  0.5000  0.0000 [2 per cell]
Ni  0.0000  0.0000  0.5000 [1 per cell]
H  0.5000  0.5000  0.0000 [1 per cell]
Ir  0.5000  0.5000  0.5000 [1 per cell]

Most intense lines, 2θ from 10° to 90°, most intense first:
- 2.142 Å, rel. 100.0
- 1.831 Å, rel. 30.7
- 3.661 Å, rel. 25.4
- 1.108 Å, rel. 23.0
- 2.641 Å, rel. 20.9
- 1.320 Å, rel. 19.9
- 3.813 Å, rel. 18.3
- 1.907 Å, rel. 17.5
- 2.589 Å, rel. 14.6
- 1.141 Å, rel. 12.4